Structure and computed powder diffractogram of RbCoAuCl6 (the PBE geometry in Alexandria; λ = 1.5418 Å (Cu Kα)).
Lines closer than 0.1° are merged.

Peak list (8 most intense, 2θ = 10–90°, by angle)
2θ 12.41, I 100; 2θ 19.20, I 63; 2θ 20.21, I 55; 2θ 20.66, I 60; 2θ 28.03, I 41; 2θ 31.07, I 27; 2θ 38.37, I 27; 2θ 38.48, I 26

Crystal structure
```
data_RbCoAuCl6
_symmetry_space_group_name_H-M 'P 1'
_symmetry_Int_Tables_number 1
_cell_length_a 6.3951
_cell_length_b 6.4033
_cell_length_c 7.1479
_cell_angle_alpha 91.79
_cell_angle_beta 92.02
_cell_angle_gamma 114.70
loop_
_symmetry_equiv_pos_as_xyz
'x,y,z'
loop_
_atom_site_label
_atom_site_type_symbol
_atom_site_fract_x
_atom_site_fract_y
_atom_site_fract_z
_atom_site_occupancy
Rb1 Rb 0.0000 0.0000 0.0000 1
Co1 Co 0.6448 0.3544 0.4991 1
Au1 Au 0.3088 0.6917 0.4996 1
Cl1 Cl 0.3645 0.0678 0.6469 1
Cl2 Cl 0.3740 0.3979 0.3040 1
Cl3 Cl 0.6031 0.6239 0.6957 1
Cl4 Cl 0.6583 0.0933 0.2916 1
Cl5 Cl 0.9072 0.3380 0.7048 1
Cl6 Cl 0.9308 0.6350 0.3517 1
```